Diffraction record for TiSb. The powder XRD pattern is theoretical, not measured: it uses the GGA-PBE geometry in the Materials Project and Cu Kα X-rays.

Most intense lines, 10 to 90 degrees two-theta, in order of rising 2θ:
Position (°2θ), Rel. int., (hkl)
29.18, 100, 1 0 1
38.63, 49, 1 0 2
44.68, 39, 1 1 0
51.09, 21, 1 0 3
54.26, 17, 2 0 1
60.51, 12, 2 0 2
72.83, 14, 2 1 1
77.22, 15, 1 1 4

Structural model:
```
data_TiSb
_space_group_name_H-M_alt 'P 63/m m c'
_space_group_IT_number 194
_space_group_name_Hall '-P 6c 2c'
_cell_length_a 4.0567
_cell_length_b 4.0567
_cell_length_c 6.2307
_cell_angle_alpha 90.00
_cell_angle_beta 90.00
_cell_angle_gamma 120.00
loop_
_atom_site_label
_atom_site_fract_x
_atom_site_fract_y
_atom_site_fract_z
_atom_site_occupancy
Ti1 0.0000 0.0000 0.0000 1
Sb1 0.3333 0.6667 0.2500 1
```

***

Diffraction record for BSF7. The powder XRD pattern is theoretical, not measured: it uses the GGA-PBE geometry in the Materials Project and Cu Kα X-rays.

Most intense lines, 10 to 90 degrees two-theta, in order of rising 2θ:
Position (°2θ), Rel. int., (hkl)
13.31, 58, 1 0 1
18.17, 21, 2 0 0
20.28, 51, 1 1 1
21.57, 43, 1 0 2
25.76, 100, 2 1 1
33.64, 26, 1 2 1
40.75, 20, 1 0 4
41.26, 41, 2 2 2

Structural model:
```
data_BSF7
_space_group_name_H-M_alt 'P n m a'
_space_group_IT_number 62
_cell_length_a 9.764
_cell_length_b 5.815
_cell_length_c 9.089
_cell_angle_alpha 90.00
_cell_angle_beta 90.00
_cell_angle_gamma 90.00
loop_
_space_group_symop_operation_xyz
'x,y,z'
'-x,-y,-z'
'-x+1/2,-y,z+1/2'
'x+1/2,y,-z+1/2'
'x+1/2,-y+1/2,-z+1/2'
'-x+1/2,y+1/2,z+1/2'
'-x,y+1/2,-z'
'x,-y+1/2,z'
loop_
_atom_site_label
_atom_site_fract_x
_atom_site_fract_y
_atom_site_fract_z
_atom_site_occupancy
B1 0.020 0.250 0.160 1
S1 0.211 0.750 0.115 1
F1 0.065 0.050 0.238 1
F2 0.075 0.250 0.018 1
F3 0.126 0.750 0.848 1
F4 0.198 0.051 0.556 1
F5 0.230 0.250 0.774 1
```

***

Diffraction record for Mg6CoSi. The powder XRD pattern is theoretical, not measured: it uses the GGA-PBE geometry in the Materials Project and Cu Kα X-rays.

Most intense lines, 10 to 90 degrees two-theta, in order of rising 2θ:
Position (°2θ), Rel. int., (hkl)
34.50, 27, 0 2 2
38.15, 37, 2 0 0
39.58, 100, 1 2 2
39.79, 50, 1 0 4
52.37, 15, 2 2 2
62.11, 16, 0 2 6
69.91, 17, 3 2 2
75.28, 18, 2 2 6

Structural model:
```
data_Mg6CoSi
_space_group_name_H-M_alt 'A m m 2'
_space_group_IT_number 38
_cell_length_a 4.717
_cell_length_b 6.018
_cell_length_c 10.330
_cell_angle_alpha 90.00
_cell_angle_beta 90.00
_cell_angle_gamma 90.00
loop_
_space_group_symop_operation_xyz
'x,y,z'
'-x,-y,z'
'-x,y,z'
'x,-y,z'
'x,y+1/2,z+1/2'
'-x,-y+1/2,z+1/2'
'-x,y+1/2,z+1/2'
'x,-y+1/2,z+1/2'
loop_
_atom_site_label
_atom_site_fract_x
_atom_site_fract_y
_atom_site_fract_z
_atom_site_occupancy
Mg1 0.000 0.000 0.000 1
Mg2 0.000 0.000 0.495 1
Mg3 0.000 0.242 0.237 1
Mg4 0.500 0.249 0.909 1
Co1 0.500 0.000 0.158 1
Si1 0.500 0.000 0.656 1
```

***

Diffraction record for CaMg14Mn. The powder XRD pattern is theoretical, not measured: it uses the GGA-PBE geometry in the Materials Project and Cu Kα X-rays.

Most intense lines, 10 to 90 degrees two-theta, in order of rising 2θ:
Position (°2θ), Rel. int., (hkl)
32.18, 25, 2 0 0
34.70, 25, 0 0 4
36.69, 100, 2 0 2
48.05, 15, 2 0 4
57.38, 17, 2 2 0
63.50, 17, 2 0 6
68.83, 18, 2 2 4
70.07, 14, 4 0 2

Structural model:
```
data_CaMg14Mn
_space_group_name_H-M_alt 'P -6 m 2'
_space_group_IT_number 187
_space_group_name_Hall 'P -6 2'
_cell_length_a 6.4231
_cell_length_b 6.4231
_cell_length_c 10.3412
_cell_angle_alpha 90.00
_cell_angle_beta 90.00
_cell_angle_gamma 120.00
loop_
_atom_site_label
_atom_site_fract_x
_atom_site_fract_y
_atom_site_fract_z
_atom_site_occupancy
Ca1 0.0000 0.0000 0.0000 1
Mg1 0.0081 0.5040 0.0000 1
Mg2 0.1660 0.3319 0.2613 1
Mg3 0.5004 0.0008 0.5000 1
Mg4 0.6667 0.3333 0.2458 1
Mn1 0.0000 0.0000 0.5000 1
```

***

Diffraction record for ZrBr3. The powder XRD pattern is theoretical, not measured: it uses the GGA-PBE geometry in the Materials Project and Cu Kα X-rays.

Most intense lines, 10 to 90 degrees two-theta, in order of rising 2θ:
Position (°2θ), Rel. int., (hkl)
13.64, 100, 1 0 0
27.72, 91, 1 1 1
37.35, 43, 1 1 2
39.43, 13, 2 1 1
39.94, 18, 2 0 2
41.75, 32, 3 0 0
46.99, 15, 2 1 2
49.87, 17, 1 1 3

Structural model:
```
data_ZrBr3
_space_group_name_H-M_alt 'P 63/m c m'
_space_group_IT_number 193
_space_group_name_Hall '-P 6c 2'
_cell_length_a 7.4946
_cell_length_b 7.4946
_cell_length_c 6.2846
_cell_angle_alpha 90.00
_cell_angle_beta 90.00
_cell_angle_gamma 120.00
loop_
_atom_site_label
_atom_site_fract_x
_atom_site_fract_y
_atom_site_fract_z
_atom_site_occupancy
Zr1 0.0000 0.0000 0.0000 1
Br1 0.0000 0.2961 0.2500 1
```

***

Diffraction record for Cs2CoI4. The powder XRD pattern is theoretical, not measured: it uses the GGA-PBE geometry in the Materials Project and Cu Kα X-rays.

Most intense lines, 10 to 90 degrees two-theta, in order of rising 2θ:
Position (°2θ), Rel. int., (hkl)
24.30, 95, 0 0 4
24.75, 100, 3 0 1
25.80, 89, 1 2 2
27.36, 79, 2 2 1
30.26, 55, 3 0 3
32.45, 40, 2 2 3
43.25, 41, 0 4 0
50.49, 37, 3 4 1

Structural model:
```
data_Cs2CoI4
_space_group_name_H-M_alt 'P n m a'
_space_group_IT_number 62
_cell_length_a 11.131
_cell_length_b 8.366
_cell_length_c 14.645
_cell_angle_alpha 90.00
_cell_angle_beta 90.00
_cell_angle_gamma 90.00
loop_
_space_group_symop_operation_xyz
'x,y,z'
'-x,-y,-z'
'-x+1/2,-y,z+1/2'
'x+1/2,y,-z+1/2'
'x+1/2,-y+1/2,-z+1/2'
'-x+1/2,y+1/2,z+1/2'
'-x,y+1/2,-z'
'x,-y+1/2,z'
loop_
_atom_site_label
_atom_site_fract_x
_atom_site_fract_y
_atom_site_fract_z
_atom_site_occupancy
Cs1 0.023 0.250 0.164 1
Cs2 0.132 0.750 0.398 1
Co1 0.239 0.750 0.078 1
I1 0.008 0.750 0.102 1
I2 0.171 0.503 0.651 1
I3 0.188 0.250 0.409 1
```

***

Diffraction record for KCl. The powder XRD pattern is theoretical, not measured: it uses the GGA-PBE geometry in the Materials Project and Cu Kα X-rays.

Most intense lines, 10 to 90 degrees two-theta, in order of rising 2θ:
Position (°2θ), Rel. int., (hkl)
33.00, 100, 1 1 0
47.36, 16, 2 0 0
58.93, 30, 2 1 1
69.22, 9, 2 2 0
78.84, 12, 3 1 0
88.15, 3, 2 2 2

Structural model:
```
data_KCl
_space_group_name_H-M_alt 'P m -3 m'
_space_group_IT_number 221
_space_group_name_Hall '-P 4 2 3'
_cell_length_a 3.839
_cell_length_b 3.839
_cell_length_c 3.839
_cell_angle_alpha 90.00
_cell_angle_beta 90.00
_cell_angle_gamma 90.00
loop_
_atom_site_label
_atom_site_fract_x
_atom_site_fract_y
_atom_site_fract_z
_atom_site_occupancy
K1 0.000 0.000 0.000 1
Cl1 0.500 0.500 0.500 1
```